For Ca4Pd3Au, the PBE geometry in Alexandria gives the calculated powder X-ray diffraction pattern in this record (Cu Kα X-rays).

Largest 12 diffraction maxima, by angle, 15 to 90 degrees two-theta:
hkl 2 0 0, 17.6 deg, intensity 3; hkl 2 1 0, 21.6 deg, intensity 4; hkl 0 2 0, 25.0 deg, intensity 32; hkl 2 1 1, 28.0 deg, intensity 2; hkl 4 0 0, 35.7 deg, intensity 100; hkl 4 2 0, 44.0 deg, intensity 10; hkl 4 0 2, 51.3 deg, intensity 17; hkl 2 4 1, 57.9 deg, intensity 14; hkl 6 2 1, 64.1 deg, intensity 35; hkl 8 0 0, 75.5 deg, intensity 11; hkl 0 6 0, 81.0 deg, intensity 7; hkl 8 0 2, 86.4 deg, intensity 15

Structure:
a = 10.0733 Å, b = 7.1192 Å, c = 5.0373 Å
α = 90.00°, β = 90.00°, γ = 90.00°
Space group Pmma (No. 51)
Inequivalent atoms, fractional coordinates:
Ca 0.0000 0.2443 0.0000 x4
Ca 0.2500 0.2443 0.4990 x4
Pd 0.0000 0.0000 0.5000 x2
Pd 0.2500 0.0000 0.9983 x2
Pd 0.2500 0.5000 0.9985 x2
Au 0.0000 0.5000 0.5000 x2

For Ca2Pd5Au5, the PBE geometry in Alexandria gives the calculated powder X-ray diffraction pattern in this record (Cu Kα X-rays).

Largest 12 diffraction maxima, by angle, 15 to 90 degrees two-theta:
hkl 0 1 1, 18.7 deg, intensity 73; hkl 0 2 0, 32.7 deg, intensity 24; hkl 1 1 3, 38.3 deg, intensity 100; hkl 2 0 0, 39.5 deg, intensity 32; hkl 1 0 4, 42.9 deg, intensity 18; hkl 1 2 2, 43.0 deg, intensity 45; hkl 2 1 1, 44.0 deg, intensity 17; hkl 1 3 3, 62.1 deg, intensity 18; hkl 0 2 6, 68.4 deg, intensity 12; hkl 3 1 3, 70.8 deg, intensity 16; hkl 3 2 2, 74.0 deg, intensity 13; hkl 2 2 6, 81.9 deg, intensity 15

Structure:
a = 4.5656 Å, b = 5.4732 Å, c = 9.5159 Å
α = 90.00°, β = 90.00°, γ = 90.00°
Space group Pmmm (No. 47)
Inequivalent atoms, fractional coordinates:
Ca 0.0000 0.0000 0.0000 x1
Ca 0.0000 0.5000 0.5000 x1
Pd 0.5000 0.0000 0.5000 x1
Pd 0.5000 0.2500 0.2523 x4
Au 0.0000 0.0000 0.3330 x2
Au 0.0000 0.5000 0.1747 x2
Au 0.5000 0.5000 0.0000 x1

For Ca2Pd4Au5, the PBE geometry in Alexandria gives the calculated powder X-ray diffraction pattern in this record (Cu Kα X-rays).

Largest 12 diffraction maxima, by angle, 15 to 90 degrees two-theta:
hkl 0 2 0, 19.3 deg, intensity 100; hkl 0 0 4, 19.6 deg, intensity 23; hkl 0 2 4, 27.6 deg, intensity 21; hkl 1 3 3, 36.6 deg, intensity 32; hkl 2 2 0, 37.8 deg, intensity 32; hkl 2 0 4, 38.0 deg, intensity 53; hkl 0 0 8, 39.8 deg, intensity 42; hkl 2 2 4, 42.9 deg, intensity 78; hkl 0 4 4, 44.1 deg, intensity 36; hkl 2 2 8, 56.1 deg, intensity 21; hkl 2 2 12, 74.4 deg, intensity 18; hkl 2 6 8, 83.6 deg, intensity 20

Structure:
a = 5.5531 Å, b = 9.2241 Å, c = 18.1250 Å
α = 90.00°, β = 90.00°, γ = 90.00°
Space group Fmmm (No. 69)
Inequivalent atoms, fractional coordinates:
Ca 0.0000 0.0000 0.1302 x8
Pd 0.0000 0.1672 0.3724 x16
Au 0.0000 0.0000 0.5000 x4
Au 0.2500 0.2500 0.0000 x8
Au 0.2500 0.2500 0.2500 x8

For Ca2Zn4PdAu3, the PBE geometry in Alexandria gives the calculated powder X-ray diffraction pattern in this record (Cu Kα X-rays).

Largest 12 diffraction maxima, by angle, 15 to 90 degrees two-theta:
hkl 0 0 2, 16.3 deg, intensity 31; hkl 1 0 1, 22.1 deg, intensity 82; hkl 1 0 2, 26.3 deg, intensity 35; hkl 1 1 1, 30.4 deg, intensity 34; hkl 1 0 3, 32.2 deg, intensity 44; hkl 1 1 2, 33.6 deg, intensity 100; hkl 2 0 0, 41.8 deg, intensity 84; hkl 1 1 4, 44.6 deg, intensity 95; hkl 1 0 5, 46.7 deg, intensity 35; hkl 2 2 0, 60.6 deg, intensity 28; hkl 2 1 5, 64.5 deg, intensity 26; hkl 3 1 4, 78.3 deg, intensity 36

Structure:
a = 4.3188 Å, b = 4.3188 Å, c = 10.8898 Å
α = 90.00°, β = 90.00°, γ = 90.00°
Space group P-4m2 (No. 115)
Inequivalent atoms, fractional coordinates:
Ca 0.0000 0.5000 0.2425 x2
Zn 0.0000 0.0000 0.5000 x1
Zn 0.0000 0.5000 0.8718 x2
Zn 0.5000 0.5000 0.5000 x1
Pd 0.5000 0.5000 0.0000 x1
Au 0.0000 0.0000 0.0000 x1
Au 0.0000 0.5000 0.6398 x2